Theoretical powder diffraction line list
Compound: Be2CoSiNi
Radiation: Cu Kα
Structure: a PBE-relaxed structure

Structural model:
```
data_Be2CoSiNi
_chemical_formula_sum 'Be2 Co1 Si1 Ni1'
_cell_length_a 3.9091
_cell_length_b 3.9091
_cell_length_c 4.1417
_cell_angle_alpha 90.00
_cell_angle_beta 90.00
_cell_angle_gamma 90.00
_symmetry_space_group_name_H-M 'P 1'
_symmetry_Int_Tables_number 1
_symmetry_space_group_name_Hall 'P 1'
loop_
_atom_site_label
_atom_site_fract_x
_atom_site_fract_y
_atom_site_fract_z
Be1 0.0000 0.5000 0.0000
Be2 0.5000 0.0000 0.0000
Co1 0.0000 0.0000 0.5000
Si1 0.5000 0.5000 0.5000
Ni1 0.5000 0.5000 0.0000
```

Main lines, sorted by position (10 to 90 degrees two-theta):
2θ (°)	d/Å	I (rel.)	index
31.47	2.843	100	1 0 1
32.39	2.764	98	1 1 0
43.71	2.071	28	0 0 2
46.46	1.955	47	2 0 0
55.44	1.657	39	1 1 2
57.19	1.611	33	2 1 1
65.69	1.421	31	2 0 2
84.23	1.150	15	2 2 2